(1)
Starting from a cell relaxed with PBE, the PXRD pattern of KAcTeO6 was computed for Cu Kα, 1.54184 Å.

The 8 most intense peaks (10 to 90 degrees two-theta), low angle first:
| 2θ (°) | d_spacing | I (rel.) |
| --- | --- | --- |
| 16.97 | 5.223 | 324 |
| 24.53 | 3.629 | 1000 |
| 29.62 | 3.016 | 378 |
| 38.83 | 2.319 | 299 |
| 46.95 | 1.935 | 311 |
| 49.58 | 1.839 | 297 |
| 52.56 | 1.741 | 112 |
| 67.23 | 1.392 | 124 |

Cell and atoms:
Unit cell a=6.031 b=6.031 c=5.047 alpha=90.00 beta=90.00 gamma=120.00
Atoms (fractional coordinates):
K 0.000 0.000 0.000
Ac 0.333 0.667 0.500
Te 0.667 0.333 0.000
O 0.424 0.048 0.783
O 0.424 0.376 0.217
O 0.624 0.048 0.217
O 0.624 0.576 0.783
O 0.952 0.376 0.783
O 0.952 0.576 0.217

***

(2)
Starting from a cell relaxed with PBE, the PXRD pattern of KAcTiO4 was computed for Cu Kα, 1.54184 Å.

The 8 most intense peaks (10 to 90 degrees two-theta), low angle first:
| 2θ (°) | d_spacing | I (rel.) |
| --- | --- | --- |
| 11.34 | 7.804 | 1000 |
| 18.46 | 4.807 | 207 |
| 19.95 | 4.450 | 361 |
| 23.30 | 3.818 | 209 |
| 27.13 | 3.287 | 346 |
| 29.27 | 3.051 | 230 |
| 32.84 | 2.727 | 256 |
| 38.22 | 2.355 | 158 |

Cell and atoms:
Unit cell a=6.510 b=6.102 c=7.811 alpha=90.00 beta=92.44 gamma=90.00
Atoms (fractional coordinates):
K 0.113 0.250 0.370
K 0.887 0.750 0.630
Ac 0.305 0.250 0.925
Ac 0.695 0.750 0.075
Ti 0.195 0.750 0.155
Ti 0.805 0.250 0.845
O 0.017 0.250 0.698
O 0.059 0.750 0.949
O 0.377 0.518 0.161
O 0.377 0.982 0.161
O 0.623 0.018 0.839
O 0.623 0.482 0.839
O 0.941 0.250 0.051
O 0.983 0.750 0.302

***

(3)
Starting from a cell relaxed with PBE, the PXRD pattern of K3Ac2TmO6 was computed for Cu Kα, 1.54184 Å.

The 8 most intense peaks (10 to 90 degrees two-theta), low angle first:
| 2θ (°) | d_spacing | I (rel.) |
| --- | --- | --- |
| 14.00 | 6.325 | 1000 |
| 28.11 | 3.175 | 490 |
| 28.22 | 3.163 | 315 |
| 29.29 | 3.049 | 801 |
| 33.60 | 2.667 | 623 |
| 33.72 | 2.658 | 310 |
| 49.00 | 1.859 | 317 |
| 57.45 | 1.604 | 257 |

Cell and atoms:
Unit cell a=6.443 b=6.443 c=6.672 alpha=99.14 beta=99.14 gamma=120.09
Atoms (fractional coordinates):
K 0.000 0.000 0.000
K 0.342 0.658 0.000
K 0.658 0.342 0.000
Ac 0.167 0.833 0.500
Ac 0.833 0.167 0.500
Tm 0.500 0.500 0.500
O 0.130 0.437 0.309
O 0.255 0.255 0.689
O 0.437 0.130 0.309
O 0.563 0.870 0.691
O 0.745 0.745 0.311
O 0.870 0.563 0.691